Starting from a structure optimized by DFT (GGA+U), the PXRD pattern of BaMo2P4O14 was simulated for Cu Kα.
No peak broadening, texture or thermal motion is included.

Structure:
Lattice parameters (Å, degrees): 11.0298 10.9000 10.0867 90.00 103.96 90.00
Space group C2/c (No. 15)
Symmetry-distinct sites (fractional):
Ba (0.2500, 0.2500, 0.0000)
Mo (0.0000, 0.0000, 0.0000)
Mo (0.0000, 0.4548, 0.2500)
P (0.0574, 0.3096, 0.5562)
P (0.2238, 0.0444, 0.3001)
O (0.0212, 0.1793, 0.5885)
O (0.0360, 0.3983, 0.9010)
O (0.0639, 0.3241, 0.4087)
O (0.1386, 0.0850, 0.1636)
O (0.1568, 0.0084, 0.4095)
O (0.1835, 0.4422, 0.2101)
O (0.1948, 0.3307, 0.6561)

Largest 8 diffraction maxima, by angle, 15 to 90 degrees two-theta:
2θ/deg	d [Å]	I_rel	(hkl)
23.2	3.827	100	1 1 2
24.4	3.642	49	0 2 2
25.8	3.459	27	3 1 -1
26.8	3.328	37	1 3 -1
27.8	3.207	44	1 1 -3
28.4	3.145	41	3 1 -2
32.9	2.720	46	0 4 0
33.5	2.676	39	4 0 0